Entry 1:
Fe7O8: theoretical X-ray diffraction stick pattern (a wavelength of 1.5418 Å), based on DFT lattice parameters and positions (GGA+U).
Kinematic intensities with the Lorentz-polarization factor, no thermal factor.

Peak list (6 most intense, 10° ≤ 2θ ≤ 90°, low angle first)
2θ (°)	I_rel
17.7	21
35.9	57
41.6	100
60.4	57
72.2	23
76.0	17

Structure:
```
data_Fe7O8
_chemical_formula_sum 'Fe28 O32'
_space_group_name_H-M_alt 'F m -3 m'
_space_group_IT_number 225
_space_group_name_Hall '-F 4 2 3'
_cell_length_a 8.6743
_cell_length_b 8.6743
_cell_length_c 8.6743
_cell_angle_alpha 90.00
_cell_angle_beta 90.00
_cell_angle_gamma 90.00
loop_
_atom_site_label
_atom_site_type_symbol
_atom_site_fract_x
_atom_site_fract_y
_atom_site_fract_z
_atom_site_occupancy
Fe1 Fe 0.0000 0.0000 0.0000 1
Fe2 Fe 0.0000 0.2500 0.2500 1
O1 O 0.0000 0.0000 0.2365 1
O2 O 0.2500 0.2500 0.2500 1
```



Entry 2:
Ba2AlTlV2O7: theoretical X-ray diffraction stick pattern (a wavelength of 1.5418 Å), based on DFT lattice parameters and positions (GGA+U).
Kinematic intensities with the Lorentz-polarization factor, no thermal factor.

Peak list (6 most intense, 10° ≤ 2θ ≤ 90°, low angle first)
2θ (°)	I_rel
26.2	47
27.1	63
27.3	59
27.8	61
30.4	100
34.5	85

Structure:
```
data_Ba2AlTlV2O7
_chemical_formula_sum 'Ba2 Al1 Tl1 V2 O7'
_space_group_name_H-M_alt 'P 1'
_space_group_IT_number 1
_cell_length_a 3.4888
_cell_length_b 3.8990
_cell_length_c 16.3899
_cell_angle_alpha 85.41
_cell_angle_beta 89.92
_cell_angle_gamma 89.98
loop_
_space_group_symop_operation_xyz
'x,y,z'
loop_
_atom_site_label
_atom_site_type_symbol
_atom_site_fract_x
_atom_site_fract_y
_atom_site_fract_z
_atom_site_occupancy
Ba1 Ba 0.0000 0.0000 0.0000 1
Ba2 Ba 0.0037 0.9565 0.4171 1
Al1 Al 0.0020 0.9543 0.7087 1
Tl1 Tl 0.5020 0.5505 0.2145 1
V1 V 0.5015 0.5402 0.8552 1
V2 V 0.5034 0.4922 0.5937 1
O1 O 0.0016 0.4866 0.3118 1
O2 O 0.0019 0.6193 0.7869 1
O3 O 0.0031 0.7199 0.6134 1
O4 O 0.5004 0.5211 0.9760 1
O5 O 0.5019 0.0599 0.8646 1
O6 O 0.5021 0.1252 0.6867 1
O7 O 0.5037 0.4123 0.4854 1
```



Entry 3:
Rb3LiTbV2O8: theoretical X-ray diffraction stick pattern (a wavelength of 1.5418 Å), based on DFT lattice parameters and positions (GGA+U).
Kinematic intensities with the Lorentz-polarization factor, no thermal factor.

Peak list (6 most intense, 10° ≤ 2θ ≤ 90°, low angle first)
2θ (°)	I_rel
26.2	53
26.4	44
27.3	64
28.8	56
29.5	100
40.6	36

Structure:
```
data_Rb3LiTbV2O8
_chemical_formula_sum 'Rb6 Li2 Tb2 V4 O16'
_space_group_name_H-M_alt 'C 1 2/m 1'
_space_group_IT_number 12
_cell_length_a 10.4530
_cell_length_b 6.1991
_cell_length_c 8.5082
_cell_angle_alpha 90.00
_cell_angle_beta 93.65
_cell_angle_gamma 90.00
loop_
_space_group_symop_operation_xyz
'x,y,z'
'-x,-y,-z'
'-x,y,-z'
'x,-y,z'
'x+1/2,y+1/2,z'
'-x+1/2,-y+1/2,-z'
'-x+1/2,y+1/2,-z'
'x+1/2,-y+1/2,z'
loop_
_atom_site_label
_atom_site_type_symbol
_atom_site_fract_x
_atom_site_fract_y
_atom_site_fract_z
_atom_site_occupancy
Rb1 Rb 0.0000 0.0000 0.0000 1
Rb2 Rb 0.1689 0.5000 0.2434 1
Li1 Li 0.0000 0.5000 0.5000 1
Tb1 Tb 0.0000 0.0000 0.5000 1
V1 V 0.1857 0.5000 0.7300 1
O1 O 0.1005 0.2774 0.6301 1
O2 O 0.1486 0.0000 0.3062 1
O3 O 0.1596 0.5000 0.9267 1
```



Entry 4:
Li9Mn2Co5O16: theoretical X-ray diffraction stick pattern (a wavelength of 1.5418 Å), based on DFT lattice parameters and positions (GGA+U).
Kinematic intensities with the Lorentz-polarization factor, no thermal factor.

Peak list (6 most intense, 10° ≤ 2θ ≤ 90°, low angle first)
2θ (°)	I_rel
18.3	100
35.4	15
42.8	29
43.8	27
44.2	27
62.9	15

Structure:
```
data_Li9Mn2Co5O16
_chemical_formula_sum 'Li9 Mn2 Co5 O16'
_space_group_name_H-M_alt 'P 1'
_space_group_IT_number 1
_cell_length_a 6.5234
_cell_length_b 6.6792
_cell_length_c 7.7630
_cell_angle_alpha 74.24
_cell_angle_beta 65.22
_cell_angle_gamma 71.29
loop_
_space_group_symop_operation_xyz
'x,y,z'
loop_
_atom_site_label
_atom_site_type_symbol
_atom_site_fract_x
_atom_site_fract_y
_atom_site_fract_z
_atom_site_occupancy
Li1 Li 0.0000 0.0000 0.0000 1
Li2 Li 0.0568 0.4410 0.8201 1
Li3 Li 0.1245 0.8705 0.6286 1
Li4 Li 0.2390 0.7530 0.2548 1
Li5 Li 0.3687 0.6247 0.8768 1
Li6 Li 0.4813 0.5002 0.5160 1
Li7 Li 0.6245 0.3773 0.1250 1
Li8 Li 0.7440 0.2526 0.7574 1
Li9 Li 0.8701 0.1358 0.3816 1
Mn1 Mn 0.6801 0.8083 0.9410 1
Mn2 Mn 0.9324 0.5606 0.1906 1
Co1 Co 0.1816 0.3188 0.4492 1
Co2 Co 0.3069 0.1913 0.0637 1
Co3 Co 0.4241 0.0738 0.6956 1
Co4 Co 0.5554 0.9428 0.3208 1
Co5 Co 0.8123 0.6825 0.5739 1
O1 O 0.1063 0.1573 0.7053 1
O2 O 0.1343 0.5982 0.5329 1
O3 O 0.2353 0.0454 0.3296 1
O4 O 0.2490 0.4735 0.1765 1
O5 O 0.3560 0.9048 0.9675 1
O6 O 0.3971 0.3254 0.8020 1
O7 O 0.4796 0.7905 0.5893 1
O8 O 0.5218 0.2120 0.4135 1
O9 O 0.6083 0.6612 0.2070 1
O10 O 0.6351 0.0761 0.0346 1
O11 O 0.7093 0.5547 0.8531 1
O12 O 0.7627 0.9568 0.6772 1
O13 O 0.8432 0.4226 0.4614 1
O14 O 0.8858 0.8288 0.2821 1
O15 O 0.9776 0.2984 0.1072 1
O16 O 0.9995 0.7176 0.9307 1
```



What is the formula in the first record? Fe7O8